Diffraction record for Y6C2O. The XRD peak list is calculated, not measured: it uses DFT lattice parameters and positions (GGA-PBE) and Cu Kα (weighted mean of Kα1 and Kα2).

Largest 6 diffraction maxima, low angle first, 10° ≤ 2θ ≤ 90°:
- 2.988 Å, 2θ = 29.90°, I 33
- 2.928 Å, 2θ = 30.53°, I 100
- 2.553 Å, 2θ = 35.15°, I 59
- 2.540 Å, 2θ = 35.34°, I 29
- 1.816 Å, 2θ = 50.25°, I 28
- 1.786 Å, 2θ = 51.14°, I 20

a b c (Å): 8.077 8.077 7.269
angles (deg): 104.29 104.29 25.67
Atoms (fractional coordinates):
Y (0.005, 0.005, 0.240)
Y (0.330, 0.330, 0.430)
Y (0.338, 0.338, 0.904)
Y (0.662, 0.662, 0.096)
Y (0.670, 0.670, 0.570)
Y (0.995, 0.995, 0.760)
C (0.163, 0.163, 0.327)
C (0.837, 0.837, 0.673)
O (0.500, 0.500, 0.000)